For ZnCd4Ag, a DFT-relaxed cell (GGA-PBE, Alexandria) gives the computed powder diffractogram in this record (Cu Kα).

The 10 most intense peaks (2θ = 15–90°), most intense first:
two_theta	Rel. int.	h k l
33.42	100	3 1 -1
37.92	86	2 2 1
38.32	84	1 5 0
39.55	62	1 3 -2
37.03	44	2 2 -2
38.70	36	0 2 2
37.26	36	2 4 -1
33.55	30	1 1 -2
34.08	29	0 4 1
33.17	29	1 3 1

Atomic structure:
Cell: 8.289 12.352 5.489 Å, 90.00 113.75 90.00°
Space group C2/c (No. 15)
Inequivalent atoms, fractional coordinates:
Zn1 0.000 0.113 0.250 (multiplicity 4)
Cd1 0.112 0.306 0.567 (multiplicity 8)
Cd2 0.194 0.091 0.838 (multiplicity 8)
Ag1 0.000 0.499 0.750 (multiplicity 4)